1.
Starting from a DFT-relaxed cell (PBE, OQMD), the powder X-ray diffraction pattern of Li2Y2Sn2IrPd was computed for a wavelength of 1.5418 Å.

Peak list (10 most intense, 10 to 80 degrees two-theta, sorted by position)
(0 0 1), 13.2°, intensity 3; (1 0 0), 18.7°, intensity 2; (1 0 1), 22.9°, intensity 39; (1 1 0), 26.5°, intensity 3; (2 0 0), 37.8°, intensity 100; (2 1 1), 44.7°, intensity 20; (2 2 0), 54.6°, intensity 17; (3 0 1), 60.0°, intensity 9; (3 1 2), 68.3°, intensity 35; (3 2 1), 73.1°, intensity 6

Cell: 4.7565 4.7565 6.7210 Å, 90.00 90.00 90.00°
Space group P-4m2 (No. 115)
Asymmetric unit:
Li  0.0000  0.0000  0.0000 (multiplicity 1)
Li  0.5000  0.5000  0.5000 (multiplicity 1)
Y  0.0000  0.5000  0.2465 (multiplicity 2)
Sn  0.0000  0.5000  0.7543 (multiplicity 2)
Ir  0.5000  0.5000  0.0000 (multiplicity 1)
Pd  0.0000  0.0000  0.5000 (multiplicity 1)

---

2.
Starting from a DFT-relaxed cell (PBE, OQMD), the powder X-ray diffraction pattern of Y3Mg3GaHg2 was computed for a wavelength of 1.5418 Å.

Peak list (10 most intense, 10 to 80 degrees two-theta, sorted by position)
(1 0 0), 13.1°, intensity 40; (1 1 0), 22.8°, intensity 61; (1 0 1), 25.3°, intensity 26; (1 1 1), 31.6°, intensity 100; (2 0 1), 34.3°, intensity 72; (3 0 0), 40.1°, intensity 44; (2 1 1), 41.6°, intensity 34; (3 0 2), 60.9°, intensity 26; (3 2 1), 64.2°, intensity 22; (4 1 1), 67.5°, intensity 25

Cell: 7.7938 7.7938 4.1263 Å, 90.00 90.00 120.00°
Space group P-62m (No. 189)
Asymmetric unit:
Y  0.0000  0.4046  0.0000 (multiplicity 3)
Mg  0.0000  0.7560  0.5000 (multiplicity 3)
Ga  0.0000  0.0000  0.0000 (multiplicity 1)
Hg  0.3333  0.6667  0.5000 (multiplicity 2)

---

3.
Starting from a DFT-relaxed cell (PBE, OQMD), the powder X-ray diffraction pattern of CoI2 was computed for a wavelength of 1.5418 Å.

Peak list (10 most intense, 10 to 80 degrees two-theta, sorted by position)
(1 0 1), 18.1°, intensity 58; (1 1 0), 25.3°, intensity 100; (1 0 2), 26.1°, intensity 94; (1 1 1), 27.5°, intensity 17; (0 2 2), 36.6°, intensity 41; (2 1 1), 40.6°, intensity 28; (2 1 2), 45.0°, intensity 39; (3 0 1), 45.9°, intensity 25; (0 1 4), 46.5°, intensity 32; (1 2 3), 51.8°, intensity 23

Cell: 7.0477 7.0477 8.2390 Å, 90.00 90.00 120.00°
Space group P3_221 (No. 154)
Asymmetric unit:
Co  0.0000  0.5370  0.3333 (multiplicity 3)
I  0.0726  0.3816  0.0757 (multiplicity 6)

---

4.
Starting from a DFT-relaxed cell (PBE, OQMD), the powder X-ray diffraction pattern of Dy4Tm2LuNi2Te2 was computed for a wavelength of 1.5418 Å.

Peak list (10 most intense, 10 to 80 degrees two-theta, sorted by position)
(1 3 0), 29.0°, intensity 23; (0 5 1), 30.3°, intensity 24; (1 1 2), 30.4°, intensity 53; (0 3 3), 33.0°, intensity 82; (1 4 1), 34.2°, intensity 100; (0 6 0), 34.7°, intensity 75; (1 0 3), 36.7°, intensity 25; (2 0 0), 47.4°, intensity 30; (1 7 2), 51.4°, intensity 28; (2 3 3), 59.0°, intensity 38

Cell: 3.8325 15.4845 9.5590 Å, 90.00 90.00 90.00°
Space group Imm2 (No. 44)
Asymmetric unit:
Dy  0.0000  0.1335  0.0000 (multiplicity 4)
Dy  0.0000  0.3543  0.1464 (multiplicity 4)
Tm  0.0000  0.3159  0.7972 (multiplicity 4)
Lu  0.0000  0.0000  0.4185 (multiplicity 2)
Ni  0.0000  0.2357  0.4876 (multiplicity 4)
Te  0.0000  0.0000  0.7553 (multiplicity 2)
Te  0.0000  0.5000  0.6556 (multiplicity 2)

---

5.
Starting from a DFT-relaxed cell (PBE, OQMD), the powder X-ray diffraction pattern of AlTcBr6 was computed for a wavelength of 1.5418 Å.

Peak list (10 most intense, 10 to 80 degrees two-theta, sorted by position)
(1 1 1), 15.2°, intensity 41; (2 0 0), 17.5°, intensity 88; (3 1 1), 29.3°, intensity 18; (2 2 2), 30.6°, intensity 91; (4 0 0), 35.5°, intensity 100; (4 2 0), 39.8°, intensity 42; (4 4 0), 51.1°, intensity 69; (6 0 0), 54.4°, intensity 21; (6 2 2), 60.7°, intensity 37; (4 4 4), 63.7°, intensity 23

Cell: 10.1173 10.1173 10.1173 Å, 90.00 90.00 90.00°
Space group F-43m (No. 216)
Asymmetric unit:
Al  0.0000  0.0000  0.0000 (multiplicity 4)
Tc  0.2500  0.2500  0.2500 (multiplicity 4)
Br  0.0044  0.2500  0.2500 (multiplicity 24)

---

6.
Starting from a DFT-relaxed cell (PBE, OQMD), the powder X-ray diffraction pattern of Dy3Y3NiTe2 was computed for a wavelength of 1.5418 Å.

Peak list (10 most intense, 10 to 80 degrees two-theta, sorted by position)
(1 1 1), 31.1°, intensity 100; (2 1 0), 32.4°, intensity 52; (2 0 1), 33.5°, intensity 72; (3 0 0), 36.9°, intensity 33; (2 1 1), 39.9°, intensity 19; (3 1 0), 44.7°, intensity 16; (0 0 2), 46.3°, intensity 18; (3 1 1), 50.7°, intensity 22; (2 1 2), 57.6°, intensity 20; (3 2 1), 60.0°, intensity 26

Cell: 8.4370 8.4370 3.9233 Å, 90.00 90.00 120.00°
Space group P-62m (No. 189)
Asymmetric unit:
Dy  0.0000  0.5963  0.0000 (multiplicity 3)
Y  0.0000  0.2398  0.5000 (multiplicity 3)
Ni  0.0000  0.0000  0.0000 (multiplicity 1)
Te  0.3333  0.6667  0.5000 (multiplicity 2)

---

7.
Starting from a DFT-relaxed cell (PBE, OQMD), the powder X-ray diffraction pattern of Pr3ClO4 was computed for a wavelength of 1.5418 Å.

Peak list (10 most intense, 10 to 80 degrees two-theta, sorted by position)
(1 0 1), 24.2°, intensity 18; (1 0 2), 29.6°, intensity 100; (1 1 0), 31.5°, intensity 33; (1 1 3), 43.6°, intensity 15; (2 0 0), 45.1°, intensity 21; (1 1 4), 51.4°, intensity 21; (2 1 2), 54.9°, intensity 35; (1 0 5), 55.3°, intensity 8; (2 0 4), 61.5°, intensity 9; (2 2 0), 65.7°, intensity 13

Cell: 4.0175 4.0175 9.1208 Å, 90.00 90.00 90.00°
Space group P4/mmm (No. 123)
Asymmetric unit:
Pr  0.0000  0.0000  0.0000 (multiplicity 1)
Pr  0.5000  0.5000  0.2747 (multiplicity 2)
Cl  0.0000  0.0000  0.5000 (multiplicity 1)
O  0.0000  0.5000  0.1603 (multiplicity 4)

---

8.
Starting from a DFT-relaxed cell (PBE, OQMD), the powder X-ray diffraction pattern of Rb2AgBrF3 was computed for a wavelength of 1.5418 Å.

Peak list (10 most intense, 10 to 80 degrees two-theta, sorted by position)
(0 1 1), 14.3°, intensity 27; (1 1 1), 27.8°, intensity 43; (0 3 1), 28.5°, intensity 41; (0 2 2), 28.7°, intensity 34; (1 2 0), 29.6°, intensity 100; (1 0 2), 33.2°, intensity 53; (0 4 0), 35.0°, intensity 28; (0 1 3), 35.6°, intensity 35; (1 3 3), 50.4°, intensity 34; (1 5 1), 52.2°, intensity 26

Cell: 3.7411 10.2546 7.8076 Å, 90.00 90.00 90.00°
Space group Amm2 (No. 38)
Asymmetric unit:
Rb  0.0000  0.2053  0.0000 (multiplicity 4)
Ag  0.5000  0.0000  0.7016 (multiplicity 2)
Br  0.5000  0.0000  0.3805 (multiplicity 2)
F  0.5000  0.0000  0.9776 (multiplicity 2)
F  0.5000  0.2041  0.7244 (multiplicity 4)

---

9.
Starting from a DFT-relaxed cell (PBE, OQMD), the powder X-ray diffraction pattern of LiReAg3S4 was computed for a wavelength of 1.5418 Å.

Peak list (10 most intense, 10 to 80 degrees two-theta, sorted by position)
(1 0 0), 14.8°, intensity 100; (1 1 1), 25.8°, intensity 17; (2 0 0), 29.9°, intensity 31; (2 1 0), 33.5°, intensity 44; (2 2 0), 42.8°, intensity 62; (2 2 1), 45.5°, intensity 27; (3 2 0), 55.4°, intensity 15; (4 1 0), 64.2°, intensity 14; (4 2 0), 70.4°, intensity 11; (4 2 2), 78.3°, intensity 19

Cell: 5.9803 5.9803 5.9803 Å, 90.00 90.00 90.00°
Space group P-43m (No. 215)
Asymmetric unit:
Li  0.0000  0.0000  0.0000 (multiplicity 1)
Re  0.5000  0.5000  0.5000 (multiplicity 1)
Ag  0.0000  0.5000  0.5000 (multiplicity 3)
S  0.2704  0.2704  0.2704 (multiplicity 4)

---

10.
Starting from a DFT-relaxed cell (PBE, OQMD), the powder X-ray diffraction pattern of ErScZn2Sn2 was computed for a wavelength of 1.5418 Å.

Peak list (10 most intense, 10 to 80 degrees two-theta, sorted by position)
(0 0 2), 11.8°, intensity 19; (1 0 2), 25.9°, intensity 20; (1 0 3), 29.1°, intensity 30; (1 0 4), 33.2°, intensity 100; (1 1 0), 40.3°, intensity 77; (0 0 8), 48.4°, intensity 26; (2 0 4), 53.2°, intensity 26; (1 1 8), 64.7°, intensity 22; (2 1 4), 68.8°, intensity 24; (3 0 0), 73.3°, intensity 20

Cell: 4.4727 4.4727 15.0594 Å, 90.00 90.00 120.00°
Space group P6_3/mmc (No. 194)
Asymmetric unit:
Er  0.0000  0.0000  0.2500 (multiplicity 2)
Sc  0.0000  0.0000  0.0000 (multiplicity 2)
Zn  0.3333  0.6667  0.1574 (multiplicity 4)
Sn  0.3333  0.6667  0.6062 (multiplicity 4)

---

11.
Starting from a DFT-relaxed cell (PBE, OQMD), the powder X-ray diffraction pattern of TbYB2Ir2O2 was computed for a wavelength of 1.5418 Å.

Peak list (10 most intense, 10 to 80 degrees two-theta, sorted by position)
(0 0 1), 12.2°, intensity 95; (1 0 1), 26.4°, intensity 32; (1 0 2), 34.1°, intensity 13; (1 1 1), 35.4°, intensity 100; (0 0 3), 37.2°, intensity 35; (1 1 2), 41.7°, intensity 83; (2 0 0), 47.6°, intensity 40; (1 1 4), 61.6°, intensity 16; (2 0 3), 61.9°, intensity 32; (1 1 5), 74.2°, intensity 17

Cell: 3.8233 3.8233 7.2539 Å, 90.00 90.00 90.00°
Space group P4mm (No. 99)
Asymmetric unit:
Tb  0.0000  0.0000  0.0000 (multiplicity 1)
Y  0.5000  0.5000  0.6297 (multiplicity 1)
B  0.0000  0.0000  0.4684 (multiplicity 1)
B  0.5000  0.5000  0.1608 (multiplicity 1)
Ir  0.0000  0.5000  0.3147 (multiplicity 2)
O  0.0000  0.0000  0.6787 (multiplicity 1)
O  0.5000  0.5000  0.9500 (multiplicity 1)